# 1
This entry pairs a crystal structure of TbHfCS with its simulated powder X-ray diffraction pattern. Radiation: λ = 1.5418 Å (Cu Kα). Structure: the GGA-PBE geometry in OQMD.
Intensities are scaled so that the largest is 100.

Crystal structure
```
data_TbHfCS
_chemical_formula_sum 'Tb2 Hf2 C2 S2'
_space_group_name_H-M_alt 'P -6 m 2'
_space_group_IT_number 187
_space_group_name_Hall 'P -6 2'
_cell_length_a 3.5221
_cell_length_b 3.5221
_cell_length_c 12.6014
_cell_angle_alpha 90.00
_cell_angle_beta 90.00
_cell_angle_gamma 120.00
loop_
_atom_site_label
_atom_site_type_symbol
_atom_site_fract_x
_atom_site_fract_y
_atom_site_fract_z
_atom_site_occupancy
Tb1 Tb 0.0000 0.0000 0.1524 1
Hf1 Hf 0.6667 0.3333 0.3581 1
C1 C 0.3333 0.6667 0.2730 1
S1 S 0.0000 0.0000 0.5000 1
S2 S 0.6667 0.3333 0.0000 1
```

Largest 10 diffraction maxima, most intense first, 10° ≤ 2θ ≤ 90°:
2theta  I/Imax  h k l
36.40  100  1 0 3
30.14  40  1 0 1
29.28  30  1 0 0
51.92  29  1 1 0
28.33  21  0 0 4
65.06  18  2 0 3
59.64  17  1 0 7
87.80  17  2 1 3
60.20  16  1 1 4
41.19  15  1 0 4

=====

# 2
This entry pairs a crystal structure of GdSbPb2O6 with its simulated powder X-ray diffraction pattern. Radiation: λ = 1.5418 Å (Cu Kα). Structure: the GGA-PBE geometry in OQMD.
Intensities are scaled so that the largest is 100.

Crystal structure
```
data_GdSbPb2O6
_chemical_formula_sum 'Gd4 Sb4 Pb8 O24'
_space_group_name_H-M_alt 'F m -3 m'
_space_group_IT_number 225
_space_group_name_Hall '-F 4 2 3'
_cell_length_a 8.5171
_cell_length_b 8.5171
_cell_length_c 8.5171
_cell_angle_alpha 90.00
_cell_angle_beta 90.00
_cell_angle_gamma 90.00
loop_
_atom_site_label
_atom_site_type_symbol
_atom_site_fract_x
_atom_site_fract_y
_atom_site_fract_z
_atom_site_occupancy
Gd1 Gd 0.0000 0.0000 0.0000 1
Sb1 Sb 0.0000 0.0000 0.5000 1
Pb1 Pb 0.2500 0.2500 0.2500 1
O1 O 0.0000 0.2500 0.2500 1
```

Largest 10 diffraction maxima, most intense first, 10° ≤ 2θ ≤ 90°:
2theta  I/Imax  h k l
29.67  100  2 2 0
52.65  42  4 2 2
42.45  27  4 0 0
85.27  23  6 4 2
69.84  18  6 2 0
61.60  18  4 4 0
20.86  8  2 0 0
77.67  6  4 4 4
47.76  4  4 2 0
65.79  2  6 0 0

=====

# 3
This entry pairs a crystal structure of Ta5NbPt2 with its simulated powder X-ray diffraction pattern. Radiation: λ = 1.5418 Å (Cu Kα). Structure: the GGA-PBE geometry in OQMD.
Intensities are scaled so that the largest is 100.

Crystal structure
```
data_Ta5NbPt2
_chemical_formula_sum 'Ta5 Nb1 Pt2'
_space_group_name_H-M_alt 'P -4 m 2'
_space_group_IT_number 115
_cell_length_a 5.1918
_cell_length_b 5.1918
_cell_length_c 5.1729
_cell_angle_alpha 90.00
_cell_angle_beta 90.00
_cell_angle_gamma 90.00
loop_
_space_group_symop_operation_xyz
'x,y,z'
'y,-x,-z'
'-x,-y,z'
'-y,x,-z'
'-x,y,z'
'-y,-x,-z'
'x,-y,z'
'y,x,-z'
loop_
_atom_site_label
_atom_site_type_symbol
_atom_site_fract_x
_atom_site_fract_y
_atom_site_fract_z
_atom_site_occupancy
Ta1 Ta 0.0000 0.0000 0.0000 1
Ta2 Ta 0.2506 0.5000 0.7499 1
Nb1 Nb 0.0000 0.0000 0.5000 1
Pt1 Pt 0.0000 0.5000 0.2491 1
```

Largest 10 diffraction maxima, most intense first, 10° ≤ 2θ ≤ 90°:
2theta  I/Imax  h k l
42.71  100  2 1 1
38.80  77  2 0 1
38.90  34  1 0 2
67.55  33  3 2 1
34.55  25  2 0 0
34.68  19  0 0 2
67.68  19  2 1 3
85.80  17  4 2 1
64.78  15  3 2 0
88.43  13  3 2 3

=====

# 4
This entry pairs a crystal structure of SmDyI2N with its simulated powder X-ray diffraction pattern. Radiation: λ = 1.5418 Å (Cu Kα). Structure: the GGA-PBE geometry in OQMD.
Intensities are scaled so that the largest is 100.

Crystal structure
```
data_SmDyI2N
_chemical_formula_sum 'Sm1 Dy1 I2 N1'
_space_group_name_H-M_alt 'P 3 m 1'
_space_group_IT_number 156
_cell_length_a 3.8131
_cell_length_b 3.8131
_cell_length_c 10.9459
_cell_angle_alpha 90.00
_cell_angle_beta 90.00
_cell_angle_gamma 120.00
loop_
_space_group_symop_operation_xyz
'x,y,z'
'-y,x-y,z'
'-x+y,-x,z'
'-y,-x,z'
'-x+y,y,z'
'x,x-y,z'
loop_
_atom_site_label
_atom_site_type_symbol
_atom_site_fract_x
_atom_site_fract_y
_atom_site_fract_z
_atom_site_occupancy
Sm1 Sm 0.0000 0.0000 0.0000 1
Dy1 Dy 0.3333 0.6667 0.2358 1
I1 I 0.0000 0.0000 0.4324 1
I2 I 0.3333 0.6667 0.7972 1
N1 N 0.6667 0.3333 0.1264 1
```

Largest 10 diffraction maxima, most intense first, 10° ≤ 2θ ≤ 90°:
2theta  I/Imax  h k l
31.65  100  1 0 2
27.00  28  1 0 0
47.70  27  1 1 0
36.71  27  0 1 3
58.38  17  0 2 2
66.11  17  1 0 7
78.62  16  2 1 2
64.85  14  1 1 5
42.92  14  0 1 4
85.53  10  0 2 7

=====

# 5
This entry pairs a crystal structure of FeH3 with its simulated powder X-ray diffraction pattern. Radiation: λ = 1.5418 Å (Cu Kα). Structure: the GGA-PBE geometry in OQMD.
Intensities are scaled so that the largest is 100.

Crystal structure
```
data_FeH3
_chemical_formula_sum 'Fe6 H18'
_space_group_name_H-M_alt 'R -3'
_space_group_IT_number 148
_space_group_name_Hall '-R 3'
_cell_length_a 4.1404
_cell_length_b 4.1404
_cell_length_c 9.4494
_cell_angle_alpha 90.00
_cell_angle_beta 90.00
_cell_angle_gamma 120.00
loop_
_atom_site_label
_atom_site_type_symbol
_atom_site_fract_x
_atom_site_fract_y
_atom_site_fract_z
_atom_site_occupancy
Fe1 Fe 0.0000 0.0000 0.1302 1
H1 H 0.0241 0.6246 0.9149 1
```

Largest 10 diffraction maxima, most intense first, 10° ≤ 2θ ≤ 90°:
2theta  I/Imax  h k l
26.59  100  1 0 1
43.73  51  1 1 0
46.01  44  1 0 4
28.33  37  0 0 3
52.93  35  1 1 3
51.91  15  0 2 1
65.34  15  0 2 4
81.96  14  3 -1 4
70.15  11  2 1 1
54.92  9  0 1 5

=====

# 6
This entry pairs a crystal structure of ErCl3 with its simulated powder X-ray diffraction pattern. Radiation: λ = 1.5418 Å (Cu Kα). Structure: the GGA-PBE geometry in OQMD.
Intensities are scaled so that the largest is 100.

Crystal structure
```
data_ErCl3
_chemical_formula_sum 'Er4 Cl12'
_space_group_name_H-M_alt 'P n m a'
_space_group_IT_number 62
_cell_length_a 12.2091
_cell_length_b 3.6234
_cell_length_c 9.3210
_cell_angle_alpha 90.00
_cell_angle_beta 90.00
_cell_angle_gamma 90.00
loop_
_space_group_symop_operation_xyz
'x,y,z'
'-x,-y,-z'
'-x+1/2,-y,z+1/2'
'x+1/2,y,-z+1/2'
'x+1/2,-y+1/2,-z+1/2'
'-x+1/2,y+1/2,z+1/2'
'-x,y+1/2,-z'
'x,-y+1/2,z'
loop_
_atom_site_label
_atom_site_type_symbol
_atom_site_fract_x
_atom_site_fract_y
_atom_site_fract_z
_atom_site_occupancy
Er1 Er 0.2267 0.2500 0.0368 1
Cl1 Cl 0.1187 0.2500 0.5359 1
Cl2 Cl 0.1223 0.7500 0.8766 1
Cl3 Cl 0.1507 0.7500 0.2263 1
```

Largest 10 diffraction maxima, most intense first, 10° ≤ 2θ ≤ 90°:
2theta  I/Imax  h k l
14.51  100  2 0 0
34.51  67  3 1 1
19.04  42  0 0 2
27.40  40  1 1 1
24.02  37  2 0 2
38.89  24  1 1 3
38.13  23  0 1 3
45.86  20  5 1 1
34.63  20  2 1 2
20.40  15  1 0 2

=====

# 7
This entry pairs a crystal structure of TbDyPd3 with its simulated powder X-ray diffraction pattern. Radiation: λ = 1.5418 Å (Cu Kα). Structure: the GGA-PBE geometry in OQMD.
Intensities are scaled so that the largest is 100.

Crystal structure
```
data_TbDyPd3
_chemical_formula_sum 'Tb2 Dy2 Pd6'
_space_group_name_H-M_alt 'P -6 c 2'
_space_group_IT_number 188
_space_group_name_Hall 'P -6c 2'
_cell_length_a 6.1445
_cell_length_b 6.1445
_cell_length_c 6.7859
_cell_angle_alpha 90.00
_cell_angle_beta 90.00
_cell_angle_gamma 120.00
loop_
_atom_site_label
_atom_site_type_symbol
_atom_site_fract_x
_atom_site_fract_y
_atom_site_fract_z
_atom_site_occupancy
Tb1 Tb 0.0000 0.0000 0.0000 1
Dy1 Dy 0.3333 0.6667 0.0000 1
Pd1 Pd 0.4114 0.0733 0.2500 1
```

Largest 10 diffraction maxima, most intense first, 10° ≤ 2θ ≤ 90°:
2theta  I/Imax  h k l
39.57  100  1 1 2
31.27  66  1 0 2
31.98  49  1 1 1
33.69  29  2 0 0
47.13  26  2 1 1
51.52  26  3 0 0
45.08  24  2 1 0
29.07  24  1 1 0
66.86  20  2 2 2
76.99  17  4 0 2

=====

# 8
This entry pairs a crystal structure of NbAu3O4 with its simulated powder X-ray diffraction pattern. Radiation: λ = 1.5418 Å (Cu Kα). Structure: the GGA-PBE geometry in OQMD.
Intensities are scaled so that the largest is 100.

Crystal structure
```
data_NbAu3O4
_chemical_formula_sum 'Nb2 Au6 O8'
_space_group_name_H-M_alt 'I 4/m m m'
_space_group_IT_number 139
_space_group_name_Hall '-I 4 2'
_cell_length_a 4.3723
_cell_length_b 4.3723
_cell_length_c 11.9624
_cell_angle_alpha 90.00
_cell_angle_beta 90.00
_cell_angle_gamma 90.00
loop_
_atom_site_label
_atom_site_type_symbol
_atom_site_fract_x
_atom_site_fract_y
_atom_site_fract_z
_atom_site_occupancy
Nb1 Nb 0.0000 0.0000 0.0000 1
Au1 Au 0.0000 0.0000 0.5000 1
Au2 Au 0.0000 0.5000 0.2500 1
O1 O 0.0000 0.0000 0.1599 1
O2 O 0.0000 0.5000 0.0000 1
```

Largest 10 diffraction maxima, most intense first, 10° ≤ 2θ ≤ 90°:
2theta  I/Imax  h k l
32.60  100  1 1 2
29.88  38  0 0 4
41.30  36  2 0 0
51.80  33  2 0 4
54.79  27  1 1 6
69.82  24  3 1 2
85.46  16  3 1 6
68.30  14  2 2 4
59.83  12  2 2 0
77.31  11  2 0 8

=====

# 9
This entry pairs a crystal structure of POsPtO with its simulated powder X-ray diffraction pattern. Radiation: λ = 1.5418 Å (Cu Kα). Structure: the GGA-PBE geometry in OQMD.
Intensities are scaled so that the largest is 100.

Crystal structure
```
data_POsPtO
_chemical_formula_sum 'P2 Os2 Pt2 O2'
_space_group_name_H-M_alt 'P m c 21'
_space_group_IT_number 26
_cell_length_a 2.9383
_cell_length_b 6.2421
_cell_length_c 6.4094
_cell_angle_alpha 90.00
_cell_angle_beta 90.00
_cell_angle_gamma 90.00
loop_
_space_group_symop_operation_xyz
'x,y,z'
'-x,-y,z+1/2'
'-x,y,z'
'x,-y,z+1/2'
loop_
_atom_site_label
_atom_site_type_symbol
_atom_site_fract_x
_atom_site_fract_y
_atom_site_fract_z
_atom_site_occupancy
P1 P 0.0000 0.1466 0.0000 1
Os1 Os 0.5000 0.4254 0.0573 1
Pt1 Pt 0.0000 0.1831 0.6526 1
O1 O 0.5000 0.3471 0.3503 1
```

Largest 10 diffraction maxima, most intense first, 10° ≤ 2θ ≤ 90°:
2theta  I/Imax  h k l
36.59  100  1 1 1
31.89  87  0 2 1
27.84  85  0 0 2
33.71  84  1 1 0
44.27  46  1 1 2
19.85  42  0 1 1
42.24  35  1 2 0
69.80  32  1 4 1
44.84  31  0 1 3
61.32  29  1 2 3

=====

# 10
This entry pairs a crystal structure of BaErZn4O7 with its simulated powder X-ray diffraction pattern. Radiation: λ = 1.5418 Å (Cu Kα). Structure: the GGA-PBE geometry in OQMD.
Intensities are scaled so that the largest is 100.

Crystal structure
```
data_BaErZn4O7
_chemical_formula_sum 'Ba4 Er4 Zn16 O28'
_space_group_name_H-M_alt 'C m c 21'
_space_group_IT_number 36
_cell_length_a 6.3129
_cell_length_b 10.9285
_cell_length_c 10.3062
_cell_angle_alpha 90.00
_cell_angle_beta 90.00
_cell_angle_gamma 90.00
loop_
_space_group_symop_operation_xyz
'x,y,z'
'-x,-y,z+1/2'
'-x,y,z'
'x,-y,z+1/2'
'x+1/2,y+1/2,z'
'-x+1/2,-y+1/2,z+1/2'
'-x+1/2,y+1/2,z'
'x+1/2,-y+1/2,z+1/2'
loop_
_atom_site_label
_atom_site_type_symbol
_atom_site_fract_x
_atom_site_fract_y
_atom_site_fract_z
_atom_site_occupancy
Ba1 Ba 0.0000 0.1659 0.0000 1
Er1 Er 0.0000 0.1659 0.3772 1
Zn1 Zn 0.0000 0.3298 0.6880 1
Zn2 Zn 0.0000 0.4995 0.4406 1
Zn3 Zn 0.2453 0.0852 0.6887 1
O1 O 0.0000 0.0013 0.7566 1
O2 O 0.0000 0.3318 0.5009 1
O3 O 0.0000 0.5002 0.2504 1
O4 O 0.2475 0.0817 0.5015 1
O5 O 0.2484 0.2491 0.2539 1
```

Largest 10 diffraction maxima, most intense first, 10° ≤ 2θ ≤ 90°:
2theta  I/Imax  h k l
33.29  100  2 0 2
30.74  86  0 2 3
33.94  72  2 2 1
28.28  50  2 0 0
55.87  40  2 2 5
51.63  38  1 5 3
58.50  37  4 0 0
53.33  30  0 6 2
83.13  21  4 6 2
67.54  18  4 2 3

=====

# 11
This entry pairs a crystal structure of Sm12TlCo6 with its simulated powder X-ray diffraction pattern. Radiation: λ = 1.5418 Å (Cu Kα). Structure: the GGA-PBE geometry in OQMD.
Intensities are scaled so that the largest is 100.

Crystal structure
```
data_Sm12TlCo6
_chemical_formula_sum 'Sm24 Tl2 Co12'
_space_group_name_H-M_alt 'I m -3'
_space_group_IT_number 204
_space_group_name_Hall '-I 2 2 3'
_cell_length_a 9.8780
_cell_length_b 9.8780
_cell_length_c 9.8780
_cell_angle_alpha 90.00
_cell_angle_beta 90.00
_cell_angle_gamma 90.00
loop_
_atom_site_label
_atom_site_type_symbol
_atom_site_fract_x
_atom_site_fract_y
_atom_site_fract_z
_atom_site_occupancy
Sm1 Sm 0.0000 0.3050 0.1934 1
Tl1 Tl 0.0000 0.0000 0.0000 1
Co1 Co 0.0000 0.1116 0.5000 1
```

Largest 10 diffraction maxima, most intense first, 10° ≤ 2θ ≤ 90°:
2theta  I/Imax  h k l
33.96  100  3 1 2
31.37  55  2 2 2
28.58  47  3 0 1
57.51  39  5 2 3
54.14  36  5 3 0
46.90  27  5 0 1
66.99  21  5 3 4
36.38  21  4 0 0
82.94  17  8 2 2
84.34  17  7 0 5